Starting from a structure optimized by DFT (GGA-PBE), the XRD peak list of Ba2Se was computed for copper Kα.

Main lines, by intensity (10° ≤ 2θ ≤ 80°):
two_theta, Rel. int.
31.99, 100
27.81, 87
49.31, 45
32.33, 34
42.63, 27
22.24, 26

Structural model:
```
data_Ba2Se
_symmetry_space_group_name_H-M 'P 1'
_symmetry_Int_Tables_number 1
_symmetry_space_group_name_Hall 'P 1'
_cell_length_a 7.832
_cell_length_b 7.832
_cell_length_c 7.995
_cell_angle_alpha 90.00
_cell_angle_beta 90.00
_cell_angle_gamma 90.00
loop_
_atom_site_label
_atom_site_type_symbol
_atom_site_fract_x
_atom_site_fract_y
_atom_site_fract_z
_atom_site_occupancy
Ba1 Ba 0.196 0.304 0.000 1
Ba2 Ba 0.196 0.696 0.500 1
Ba3 Ba 0.304 0.196 0.500 1
Ba4 Ba 0.304 0.804 0.000 1
Ba5 Ba 0.696 0.196 0.000 1
Ba6 Ba 0.696 0.804 0.500 1
Ba7 Ba 0.804 0.304 0.500 1
Ba8 Ba 0.804 0.696 0.000 1
Se1 Se 0.000 0.000 0.250 1
Se2 Se 0.000 0.000 0.750 1
Se3 Se 0.500 0.500 0.250 1
Se4 Se 0.500 0.500 0.750 1
```

***

Starting from a structure optimized by DFT (GGA-PBE), the XRD peak list of BaSe5 was computed for copper Kα.

Main lines, by intensity (10° ≤ 2θ ≤ 80°):
two_theta, Rel. int.
22.69, 100
24.75, 95
30.29, 61
32.96, 45
39.91, 44
35.83, 37

Structural model:
```
data_BaSe5
_symmetry_space_group_name_H-M 'P 1'
_symmetry_Int_Tables_number 1
_symmetry_space_group_name_Hall 'P 1'
_cell_length_a 5.910
_cell_length_b 6.936
_cell_length_c 10.518
_cell_angle_alpha 103.59
_cell_angle_beta 103.32
_cell_angle_gamma 90.47
loop_
_atom_site_label
_atom_site_type_symbol
_atom_site_fract_x
_atom_site_fract_y
_atom_site_fract_z
_atom_site_occupancy
Ba1 Ba 0.092 0.299 0.271 1
Ba2 Ba 0.908 0.701 0.729 1
Se1 Se 0.150 0.871 0.058 1
Se2 Se 0.179 0.017 0.594 1
Se3 Se 0.318 0.691 0.556 1
Se4 Se 0.435 0.491 0.808 1
Se5 Se 0.459 0.232 0.915 1
Se6 Se 0.541 0.768 0.085 1
Se7 Se 0.565 0.509 0.192 1
Se8 Se 0.682 0.309 0.444 1
Se9 Se 0.821 0.983 0.406 1
Se10 Se 0.850 0.129 0.942 1
```

***

Starting from a structure optimized by DFT (GGA-PBE), the XRD peak list of BaSe3 was computed for copper Kα.

Main lines, by intensity (10° ≤ 2θ ≤ 80°):
two_theta, Rel. int.
31.89, 100
34.17, 75
26.86, 46
55.36, 31
23.97, 26
58.29, 23

Structural model:
```
data_BaSe3
_symmetry_space_group_name_H-M 'P 1'
_symmetry_Int_Tables_number 1
_symmetry_space_group_name_Hall 'P 1'
_cell_length_a 7.420
_cell_length_b 7.420
_cell_length_c 4.289
_cell_angle_alpha 90.00
_cell_angle_beta 90.00
_cell_angle_gamma 90.00
loop_
_atom_site_label
_atom_site_type_symbol
_atom_site_fract_x
_atom_site_fract_y
_atom_site_fract_z
_atom_site_occupancy
Ba1 Ba 0.000 0.000 0.000 1
Ba2 Ba 0.500 0.500 0.000 1
Se1 Se 0.000 0.500 0.176 1
Se2 Se 0.192 0.692 0.487 1
Se3 Se 0.308 0.192 0.513 1
Se4 Se 0.500 0.000 0.824 1
Se5 Se 0.692 0.808 0.513 1
Se6 Se 0.808 0.308 0.487 1
```

***

Starting from a structure optimized by DFT (GGA-PBE), the XRD peak list of Ba3Sm3TmSe8 was computed for copper Kα.

Main lines, by intensity (10° ≤ 2θ ≤ 80°):
two_theta, Rel. int.
28.83, 100
40.09, 37
42.33, 36
52.03, 19
69.24, 16
66.04, 14

Structural model:
```
data_Ba3Sm3TmSe8
_symmetry_space_group_name_H-M 'P 1'
_symmetry_Int_Tables_number 1
_symmetry_space_group_name_Hall 'P 1'
_cell_length_a 9.022
_cell_length_b 9.022
_cell_length_c 9.022
_cell_angle_alpha 56.50
_cell_angle_beta 56.50
_cell_angle_gamma 56.50
loop_
_atom_site_label
_atom_site_type_symbol
_atom_site_fract_x
_atom_site_fract_y
_atom_site_fract_z
_atom_site_occupancy
Ba1 Ba 0.000 0.500 0.500 1
Ba2 Ba 0.500 0.000 0.500 1
Ba3 Ba 0.500 0.500 0.000 1
Sm1 Sm 0.000 0.000 0.500 1
Sm2 Sm 0.000 0.500 0.000 1
Sm3 Sm 0.500 0.000 0.000 1
Tm1 Tm 0.500 0.500 0.500 1
Se1 Se 0.240 0.240 0.240 1
Se2 Se 0.245 0.733 0.733 1
Se3 Se 0.267 0.267 0.755 1
Se4 Se 0.267 0.755 0.267 1
Se5 Se 0.733 0.245 0.733 1
Se6 Se 0.733 0.733 0.245 1
Se7 Se 0.755 0.267 0.267 1
Se8 Se 0.760 0.760 0.760 1
```

***

Starting from a structure optimized by DFT (GGA-PBE), the XRD peak list of Ba2SnSe5 was computed for copper Kα.

Main lines, by intensity (10° ≤ 2θ ≤ 80°):
two_theta, Rel. int.
32.60, 100
26.54, 89
31.40, 41
42.79, 25
31.12, 24
30.95, 23

Structural model:
```
data_Ba2SnSe5
_symmetry_space_group_name_H-M 'P 1'
_symmetry_Int_Tables_number 1
_symmetry_space_group_name_Hall 'P 1'
_cell_length_a 11.529
_cell_length_b 7.690
_cell_length_c 7.852
_cell_angle_alpha 90.00
_cell_angle_beta 132.62
_cell_angle_gamma 90.00
loop_
_atom_site_label
_atom_site_type_symbol
_atom_site_fract_x
_atom_site_fract_y
_atom_site_fract_z
_atom_site_occupancy
Ba1 Ba 0.000 0.000 0.000 1
Ba2 Ba 0.000 0.500 0.486 1
Ba3 Ba 0.500 0.000 0.486 1
Ba4 Ba 0.500 0.500 0.000 1
Sn1 Sn 0.185 0.500 0.141 1
Sn2 Sn 0.685 0.000 0.141 1
Se1 Se 0.245 0.247 0.989 1
Se2 Se 0.245 0.753 0.989 1
Se3 Se 0.264 0.256 0.502 1
Se4 Se 0.264 0.744 0.502 1
Se5 Se 0.333 0.000 0.756 1
Se6 Se 0.745 0.253 0.989 1
Se7 Se 0.745 0.747 0.989 1
Se8 Se 0.764 0.244 0.502 1
Se9 Se 0.764 0.756 0.502 1
Se10 Se 0.833 0.500 0.756 1
```

***

Starting from a structure optimized by DFT (GGA-PBE), the XRD peak list of Ba3SnSe4 was computed for copper Kα.

Main lines, by intensity (10° ≤ 2θ ≤ 80°):
two_theta, Rel. int.
27.21, 100
38.85, 76
48.08, 27
70.35, 26
63.43, 24
63.52, 11

Structural model:
```
data_Ba3SnSe4
_symmetry_space_group_name_H-M 'P 1'
_symmetry_Int_Tables_number 1
_symmetry_space_group_name_Hall 'P 1'
_cell_length_a 4.638
_cell_length_b 4.638
_cell_length_c 13.095
_cell_angle_alpha 90.00
_cell_angle_beta 90.00
_cell_angle_gamma 90.00
loop_
_atom_site_label
_atom_site_type_symbol
_atom_site_fract_x
_atom_site_fract_y
_atom_site_fract_z
_atom_site_occupancy
Ba1 Ba 0.000 0.000 0.000 1
Ba2 Ba 0.500 0.500 0.257 1
Ba3 Ba 0.500 0.500 0.743 1
Sn1 Sn 0.000 0.000 0.500 1
Se1 Se 0.000 0.000 0.260 1
Se2 Se 0.000 0.000 0.740 1
Se3 Se 0.500 0.500 0.000 1
Se4 Se 0.500 0.500 0.500 1
```

***

Starting from a structure optimized by DFT (GGA-PBE), the XRD peak list of Ba2SnSe4 was computed for copper Kα.

Main lines, by intensity (10° ≤ 2θ ≤ 80°):
two_theta, Rel. int.
32.00, 100
26.19, 48
32.52, 34
21.15, 30
27.44, 29
27.71, 24

Structural model:
```
data_Ba2SnSe4
_symmetry_space_group_name_H-M 'P 1'
_symmetry_Int_Tables_number 1
_symmetry_space_group_name_Hall 'P 1'
_cell_length_a 11.014
_cell_length_b 6.903
_cell_length_c 6.903
_cell_angle_alpha 109.84
_cell_angle_beta 90.00
_cell_angle_gamma 90.00
loop_
_atom_site_label
_atom_site_type_symbol
_atom_site_fract_x
_atom_site_fract_y
_atom_site_fract_z
_atom_site_occupancy
Ba1 Ba 0.000 0.000 0.000 1
Ba2 Ba 0.250 0.736 0.360 1
Ba3 Ba 0.500 0.000 0.000 1
Ba4 Ba 0.750 0.360 0.736 1
Sn1 Sn 0.250 0.307 0.756 1
Sn2 Sn 0.750 0.756 0.307 1
Se1 Se 0.059 0.124 0.569 1
Se2 Se 0.250 0.256 0.111 1
Se3 Se 0.250 0.700 0.837 1
Se4 Se 0.441 0.124 0.569 1
Se5 Se 0.559 0.569 0.124 1
Se6 Se 0.750 0.111 0.256 1
Se7 Se 0.750 0.837 0.700 1
Se8 Se 0.941 0.569 0.124 1
```

***

Starting from a structure optimized by DFT (GGA-PBE), the XRD peak list of Ba3SnSe6 was computed for copper Kα.

Main lines, by intensity (10° ≤ 2θ ≤ 80°):
two_theta, Rel. int.
31.11, 100
30.66, 83
21.49, 79
36.27, 55
17.17, 42
19.39, 42

Structural model:
```
data_Ba3SnSe6
_symmetry_space_group_name_H-M 'P 1'
_symmetry_Int_Tables_number 1
_symmetry_space_group_name_Hall 'P 1'
_cell_length_a 9.160
_cell_length_b 9.160
_cell_length_c 9.160
_cell_angle_alpha 91.34
_cell_angle_beta 91.34
_cell_angle_gamma 91.34
loop_
_atom_site_label
_atom_site_type_symbol
_atom_site_fract_x
_atom_site_fract_y
_atom_site_fract_z
_atom_site_occupancy
Ba1 Ba 0.066 0.566 0.751 1
Ba2 Ba 0.249 0.934 0.434 1
Ba3 Ba 0.434 0.249 0.934 1
Ba4 Ba 0.566 0.751 0.066 1
Ba5 Ba 0.751 0.066 0.566 1
Ba6 Ba 0.934 0.434 0.249 1
Sn1 Sn 0.000 0.000 0.000 1
Sn2 Sn 0.500 0.500 0.500 1
Se1 Se 0.040 0.922 0.717 1
Se2 Se 0.078 0.283 0.960 1
Se3 Se 0.221 0.571 0.428 1
Se4 Se 0.283 0.960 0.078 1
Se5 Se 0.428 0.221 0.571 1
Se6 Se 0.429 0.572 0.779 1
Se7 Se 0.571 0.428 0.221 1
Se8 Se 0.572 0.779 0.429 1
Se9 Se 0.717 0.040 0.922 1
Se10 Se 0.779 0.429 0.572 1
Se11 Se 0.922 0.717 0.040 1
Se12 Se 0.960 0.078 0.283 1
```

***

Starting from a structure optimized by DFT (GGA-PBE), the XRD peak list of Ba2SnSe4 was computed for copper Kα.

Main lines, by intensity (10° ≤ 2θ ≤ 80°):
two_theta, Rel. int.
27.88, 100
30.01, 74
31.24, 40
24.38, 27
41.43, 25
24.00, 22

Structural model:
```
data_Ba2SnSe4
_symmetry_space_group_name_H-M 'P 1'
_symmetry_Int_Tables_number 1
_symmetry_space_group_name_Hall 'P 1'
_cell_length_a 8.670
_cell_length_b 9.509
_cell_length_c 12.554
_cell_angle_alpha 90.00
_cell_angle_beta 113.89
_cell_angle_gamma 90.00
loop_
_atom_site_label
_atom_site_type_symbol
_atom_site_fract_x
_atom_site_fract_y
_atom_site_fract_z
_atom_site_occupancy
Ba1 Ba 0.036 0.150 0.341 1
Ba2 Ba 0.036 0.350 0.841 1
Ba3 Ba 0.408 0.113 0.157 1
Ba4 Ba 0.408 0.387 0.657 1
Ba5 Ba 0.592 0.613 0.343 1
Ba6 Ba 0.592 0.887 0.843 1
Ba7 Ba 0.964 0.650 0.159 1
Ba8 Ba 0.964 0.850 0.659 1
Sn1 Sn 0.303 0.686 0.994 1
Sn2 Sn 0.303 0.814 0.494 1
Sn3 Sn 0.697 0.186 0.506 1
Sn4 Sn 0.697 0.314 0.006 1
Se1 Se 0.075 0.629 0.461 1
Se2 Se 0.075 0.871 0.961 1
Se3 Se 0.255 0.619 0.785 1
Se4 Se 0.255 0.881 0.285 1
Se5 Se 0.263 0.022 0.612 1
Se6 Se 0.263 0.478 0.112 1
Se7 Se 0.411 0.191 0.893 1
Se8 Se 0.411 0.309 0.393 1
Se9 Se 0.589 0.691 0.607 1
Se10 Se 0.589 0.809 0.107 1
Se11 Se 0.737 0.522 0.888 1
Se12 Se 0.737 0.978 0.388 1
Se13 Se 0.745 0.119 0.715 1
Se14 Se 0.745 0.381 0.215 1
Se15 Se 0.925 0.129 0.039 1
Se16 Se 0.925 0.371 0.539 1
```

***

Starting from a structure optimized by DFT (GGA-PBE), the XRD peak list of BaSn2Se2 was computed for copper Kα.

Main lines, by intensity (10° ≤ 2θ ≤ 80°):
two_theta, Rel. int.
31.50, 100
33.77, 39
42.40, 35
26.18, 30
70.78, 23
20.95, 22

Structural model:
```
data_BaSn2Se2
_symmetry_space_group_name_H-M 'P 1'
_symmetry_Int_Tables_number 1
_symmetry_space_group_name_Hall 'P 1'
_cell_length_a 4.263
_cell_length_b 4.263
_cell_length_c 16.959
_cell_angle_alpha 90.00
_cell_angle_beta 90.00
_cell_angle_gamma 90.00
loop_
_atom_site_label
_atom_site_type_symbol
_atom_site_fract_x
_atom_site_fract_y
_atom_site_fract_z
_atom_site_occupancy
Ba1 Ba 0.000 0.000 0.000 1
Ba2 Ba 0.500 0.500 0.500 1
Sn1 Sn 0.000 0.500 0.250 1
Sn2 Sn 0.000 0.500 0.750 1
Sn3 Sn 0.500 0.000 0.250 1
Sn4 Sn 0.500 0.000 0.750 1
Se1 Se 0.000 0.000 0.400 1
Se2 Se 0.000 0.000 0.600 1
Se3 Se 0.500 0.500 0.100 1
Se4 Se 0.500 0.500 0.900 1
```

***

Starting from a structure optimized by DFT (GGA-PBE), the XRD peak list of BaSnSe3 was computed for copper Kα.

Main lines, by intensity (10° ≤ 2θ ≤ 80°):
two_theta, Rel. int.
32.75, 100
33.51, 70
36.90, 59
43.16, 50
25.60, 46
26.09, 46

Structural model:
```
data_BaSnSe3
_symmetry_space_group_name_H-M 'P 1'
_symmetry_Int_Tables_number 1
_symmetry_space_group_name_Hall 'P 1'
_cell_length_a 7.846
_cell_length_b 6.959
_cell_length_c 11.660
_cell_angle_alpha 90.00
_cell_angle_beta 96.39
_cell_angle_gamma 90.00
loop_
_atom_site_label
_atom_site_type_symbol
_atom_site_fract_x
_atom_site_fract_y
_atom_site_fract_z
_atom_site_occupancy
Ba1 Ba 0.149 0.228 0.154 1
Ba2 Ba 0.149 0.272 0.654 1
Ba3 Ba 0.851 0.728 0.346 1
Ba4 Ba 0.851 0.772 0.846 1
Sn1 Sn 0.408 0.736 0.037 1
Sn2 Sn 0.408 0.764 0.537 1
Sn3 Sn 0.592 0.236 0.463 1
Sn4 Sn 0.592 0.264 0.963 1
Se1 Se 0.102 0.733 0.102 1
Se2 Se 0.102 0.767 0.602 1
Se3 Se 0.305 0.078 0.913 1
Se4 Se 0.305 0.422 0.413 1
Se5 Se 0.453 0.573 0.841 1
Se6 Se 0.453 0.927 0.341 1
Se7 Se 0.547 0.073 0.659 1
Se8 Se 0.547 0.427 0.159 1
Se9 Se 0.695 0.578 0.587 1
Se10 Se 0.695 0.922 0.087 1
Se11 Se 0.898 0.233 0.398 1
Se12 Se 0.898 0.267 0.898 1
```

***

Starting from a structure optimized by DFT (GGA-PBE), the XRD peak list of BaSr2Se was computed for copper Kα.

Main lines, by intensity (10° ≤ 2θ ≤ 80°):
two_theta, Rel. int.
27.70, 100
40.33, 36
31.25, 32
33.48, 32
31.68, 31
23.62, 25

Structural model:
```
data_BaSr2Se
_symmetry_space_group_name_H-M 'P 1'
_symmetry_Int_Tables_number 1
_symmetry_space_group_name_Hall 'P 1'
_cell_length_a 5.648
_cell_length_b 5.724
_cell_length_c 10.762
_cell_angle_alpha 90.00
_cell_angle_beta 90.00
_cell_angle_gamma 90.00
loop_
_atom_site_label
_atom_site_type_symbol
_atom_site_fract_x
_atom_site_fract_y
_atom_site_fract_z
_atom_site_occupancy
Ba1 Ba 0.000 0.000 0.000 1
Ba2 Ba 0.500 0.500 0.000 1
Sr1 Sr 0.000 0.000 0.347 1
Sr2 Sr 0.000 0.500 0.661 1
Sr3 Sr 0.500 0.000 0.661 1
Sr4 Sr 0.500 0.500 0.347 1
Se1 Se 0.000 0.500 0.183 1
Se2 Se 0.500 0.000 0.183 1
```